Structure and computed PXRD pattern of KSn4Cl8 (DFT lattice parameters and positions (GGA-PBE); Cu Kα (weighted mean of Kα1 and Kα2)).
Lines closer than 0.1° are merged.

Structural model:
Cell lengths 8.7787, 8.7787, 21.6274 Å; angles 90.00, 90.00, 120.00 degrees
Space group R-3m (No. 166, hexagonal axes)
One atom of each set of equivalent atoms:
K 0.0000 0.0000 0.0000 x3
Sn 0.0000 0.0000 0.5000 x3
Sn 0.0000 0.5000 0.5000 x9
Cl 0.0000 0.0000 0.2320 x6
Cl 0.0021 0.5011 0.7650 x18

Top 8 peaks for 10 to 90 degrees two-theta, most intense first:
Position (°2θ), d_spacing, I (rel.), (hkl)
12.28, 7.208, 100, 0 0 3
28.71, 3.110, 91, 0 2 4
23.77, 3.744, 39, 0 2 1
41.13, 2.195, 35, 2 2 0
37.51, 2.398, 29, 0 2 7
40.97, 2.203, 29, 2 0 8
43.08, 2.100, 27, 2 2 3
50.93, 1.793, 17, 4 0 4


Structure and computed PXRD pattern of K2SnCl7 (DFT lattice parameters and positions (GGA-PBE); Cu Kα (weighted mean of Kα1 and Kα2)).
Lines closer than 0.1° are merged.

Structural model:
Cell lengths 16.918, 7.666, 11.931 Å; angles 90.00, 118.66, 90.00 degrees
Space group C2/c (No. 15)
One atom of each set of equivalent atoms:
K 0.169 0.130 0.088 x8
Sn 0.000 0.241 0.250 x4
Cl 0.000 0.083 0.750 x4
Cl 0.047 0.225 0.476 x8
Cl 0.125 0.416 0.282 x8
Cl 0.192 0.060 0.841 x8

Top 8 peaks for 10 to 90 degrees two-theta, most intense first:
Position (°2θ), d_spacing, I (rel.), (hkl)
17.00, 5.216, 100, 1 1 1
13.86, 6.388, 46, 1 1 -1
30.28, 2.952, 44, 2 0 -4
11.92, 7.422, 37, 2 0 0
19.54, 4.542, 34, 3 1 -1
26.17, 3.406, 32, 2 2 0
29.45, 3.033, 21, 5 1 -1
15.34, 5.778, 20, 2 0 -2